[1]
Theoretical XRD peak list
Compound: KHg
Radiation: Cu Kα
Structure: a GGA-PBE-relaxed structure

```
data_KHg
_chemical_formula_sum 'K4 Hg4'
_cell_length_a 6.7186
_cell_length_b 7.0411
_cell_length_c 7.2150
_cell_angle_alpha 107.86
_cell_angle_beta 101.93
_cell_angle_gamma 91.64
_symmetry_space_group_name_H-M 'P -1'
_symmetry_Int_Tables_number 2
loop_
_symmetry_equiv_pos_as_xyz
'x,y,z'
'-x,-y,-z'
loop_
_atom_site_label
_atom_site_type_symbol
_atom_site_fract_x
_atom_site_fract_y
_atom_site_fract_z
K1 K 0.1842 0.2905 0.1397
K2 K 0.2577 0.8428 0.5516
Hg1 Hg 0.2950 0.3916 0.6941
Hg2 Hg 0.3595 0.7751 0.0598
```

Peak list (6 most intense, 2θ from 10° to 80°, by angle)
2θ = 13.26°, rel. 52
2θ = 13.54°, rel. 61
2θ = 19.46°, rel. 97
2θ = 21.67°, rel. 62
2θ = 31.27°, rel. 100
2θ = 33.37°, rel. 52

---

[2]
Theoretical XRD peak list
Compound: Re5Mo
Radiation: Cu Kα
Structure: a GGA-PBE-relaxed structure

```
data_Re5Mo
_chemical_formula_sum 'Re10 Mo2'
_cell_length_a 3.9197
_cell_length_b 7.3325
_cell_length_c 7.3443
_cell_angle_alpha 106.54
_cell_angle_beta 105.48
_cell_angle_gamma 105.49
_symmetry_space_group_name_H-M 'P -1'
_symmetry_Int_Tables_number 2
loop_
_symmetry_equiv_pos_as_xyz
'x,y,z'
'-x,-y,-z'
loop_
_atom_site_label
_atom_site_type_symbol
_atom_site_fract_x
_atom_site_fract_y
_atom_site_fract_z
Re1 Re 0.1188 0.2051 0.0319
Re2 Re 0.1287 0.8766 0.3800
Re3 Re 0.3700 0.2855 0.4539
Re4 Re 0.3771 0.9617 0.7931
Re5 Re 0.3780 0.6285 0.1276
Mo1 Mo 0.1278 0.5427 0.7120
```

Peak list (6 most intense, 2θ from 10° to 80°, by angle)
2θ = 13.57°, rel. 3
2θ = 25.39°, rel. 1
2θ = 39.80°, rel. 100
2θ = 46.29°, rel. 49
2θ = 67.50°, rel. 16
2θ = 67.59°, rel. 16

---

[3]
Theoretical XRD peak list
Compound: Dy3Ho2Lu2Te2Pd2
Radiation: Cu Kα
Structure: a GGA-PBE-relaxed structure

```
data_Dy3Ho2Lu2Te2Pd2
_chemical_formula_sum 'Dy6 Ho4 Lu4 Te4 Pd4'
_cell_length_a 3.9335
_cell_length_b 15.5763
_cell_length_c 9.5979
_cell_angle_alpha 90.00
_cell_angle_beta 90.00
_cell_angle_gamma 90.00
_symmetry_space_group_name_H-M 'I m m 2'
_symmetry_Int_Tables_number 44
loop_
_symmetry_equiv_pos_as_xyz
'x,y,z'
'-x,-y,z'
'-x,y,z'
'x,-y,z'
'x+1/2,y+1/2,z+1/2'
'-x+1/2,-y+1/2,z+1/2'
'-x+1/2,y+1/2,z+1/2'
'x+1/2,-y+1/2,z+1/2'
loop_
_atom_site_label
_atom_site_type_symbol
_atom_site_fract_x
_atom_site_fract_y
_atom_site_fract_z
Dy1 Dy 0.0000 0.0000 0.0000
Dy2 Dy 0.0000 0.1298 0.5830
Ho1 Ho 0.0000 0.3555 0.7350
Lu1 Lu 0.0000 0.3174 0.3751
Te1 Te 0.0000 0.0000 0.3356
Te2 Te 0.0000 0.5000 0.2374
Pd1 Pd 0.0000 0.2348 0.0676
```

Peak list (6 most intense, 2θ from 10° to 80°, by angle)
2θ = 28.47°, rel. 33
2θ = 29.93°, rel. 49
2θ = 32.88°, rel. 62
2θ = 33.71°, rel. 100
2θ = 34.16°, rel. 52
2θ = 46.16°, rel. 30

---

[4]
Theoretical XRD peak list
Compound: Ho5TlZn4
Radiation: Cu Kα
Structure: a GGA-PBE-relaxed structure

```
data_Ho5TlZn4
_chemical_formula_sum 'Ho5 Tl1 Zn4'
_cell_length_a 3.5718
_cell_length_b 3.5718
_cell_length_c 18.1858
_cell_angle_alpha 90.00
_cell_angle_beta 90.00
_cell_angle_gamma 90.00
_symmetry_space_group_name_H-M 'P 4/m m m'
_symmetry_Int_Tables_number 123
_symmetry_space_group_name_Hall '-P 4 2'
loop_
_atom_site_label
_atom_site_type_symbol
_atom_site_fract_x
_atom_site_fract_y
_atom_site_fract_z
Ho1 Ho 0.0000 0.0000 0.0000
Ho2 Ho 0.0000 0.0000 0.1928
Ho3 Ho 0.0000 0.0000 0.3846
Tl1 Tl 0.5000 0.5000 0.5000
Zn1 Zn 0.5000 0.5000 0.0974
Zn2 Zn 0.5000 0.5000 0.2881
```

Peak list (6 most intense, 2θ from 10° to 80°, by angle)
2θ = 35.22°, rel. 100
2θ = 35.55°, rel. 53
2θ = 51.15°, rel. 19
2θ = 62.98°, rel. 14
2θ = 63.62°, rel. 36
2θ = 74.46°, rel. 9

---

[5]
Theoretical XRD peak list
Compound: Nd4Cu3Si
Radiation: Cu Kα
Structure: a GGA-PBE-relaxed structure

```
data_Nd4Cu3Si
_chemical_formula_sum 'Nd4 Cu3 Si1'
_cell_length_a 5.7961
_cell_length_b 4.2658
_cell_length_c 7.6541
_cell_angle_alpha 90.00
_cell_angle_beta 91.19
_cell_angle_gamma 90.00
_symmetry_space_group_name_H-M 'P 1 m 1'
_symmetry_Int_Tables_number 6
loop_
_symmetry_equiv_pos_as_xyz
'x,y,z'
'x,-y,z'
loop_
_atom_site_label
_atom_site_type_symbol
_atom_site_fract_x
_atom_site_fract_y
_atom_site_fract_z
Nd1 Nd 0.0000 0.0000 0.0000
Nd2 Nd 0.2267 0.0000 0.4921
Nd3 Nd 0.4958 0.5000 0.8446
Nd4 Nd 0.7280 0.5000 0.3545
Cu1 Cu 0.2514 0.5000 0.2046
Cu2 Cu 0.4881 0.0000 0.1420
Cu3 Cu 0.7531 0.0000 0.6430
Si1 Si 0.9914 0.5000 0.7123
```

Peak list (6 most intense, 2θ from 10° to 80°, by angle)
2θ = 28.61°, rel. 47
2θ = 31.41°, rel. 100
2θ = 32.82°, rel. 46
2θ = 33.29°, rel. 44
2θ = 34.88°, rel. 45
2θ = 42.38°, rel. 47

---

[6]
Theoretical XRD peak list
Compound: NdCo3Cl2
Radiation: Cu Kα
Structure: a GGA-PBE-relaxed structure

```
data_NdCo3Cl2
_chemical_formula_sum 'Nd1 Co3 Cl2'
_cell_length_a 4.5003
_cell_length_b 4.5003
_cell_length_c 5.7622
_cell_angle_alpha 90.00
_cell_angle_beta 90.00
_cell_angle_gamma 90.00
_symmetry_space_group_name_H-M 'P -4 m 2'
_symmetry_Int_Tables_number 115
loop_
_symmetry_equiv_pos_as_xyz
'x,y,z'
'y,-x,-z'
'-x,-y,z'
'-y,x,-z'
'-x,y,z'
'-y,-x,-z'
'x,-y,z'
'y,x,-z'
loop_
_atom_site_label
_atom_site_type_symbol
_atom_site_fract_x
_atom_site_fract_y
_atom_site_fract_z
Nd1 Nd 0.0000 0.0000 0.0000
Co1 Co 0.0000 0.5000 0.2289
Co2 Co 0.5000 0.5000 0.0000
Cl1 Cl 0.0000 0.5000 0.6098
```

Peak list (6 most intense, 2θ from 10° to 80°, by angle)
2θ = 15.38°, rel. 66
2θ = 25.11°, rel. 39
2θ = 32.13°, rel. 100
2θ = 40.07°, rel. 72
2θ = 42.32°, rel. 75
2θ = 74.34°, rel. 26